Record 1
# Tb4AgPd2
Calculated XRD peak list, Cu Ka. Input: a cell relaxed with PBE.
No peak broadening, texture or thermal motion is included.

abc: 8.6141 14.7910 7.0340
angles: 90.00 127.74 90.00
Space group Cc (No. 9)
Symmetry-distinct sites (fractional):
Tb 0.0000 0.0081 0.0000 x4
Tb 0.2355 0.3022 0.6851 x4
Tb 0.4269 0.2578 0.3536 x4
Tb 0.4769 0.0521 0.6681 x4
Ag 0.2884 0.1252 0.9260 x4
Pd 0.1193 0.1586 0.3303 x4
Pd 0.2161 0.4084 0.0237 x4

Main lines, low angle first (15 to 90 degrees two-theta):
hkl 2 2 0, d = 3.093 Å, 2θ = 28.86°, I 38; hkl 0 4 1, d = 3.079 Å, 2θ = 29.00°, I 37; hkl 1 3 -2, d = 2.802 Å, 2θ = 31.93°, I 100; hkl 3 1 -1, d = 2.732 Å, 2θ = 32.78°, I 79; hkl 1 5 -1, d = 2.713 Å, 2θ = 33.01°, I 30; hkl 2 4 0, d = 2.505 Å, 2θ = 35.85°, I 60; hkl 2 2 -3, d = 2.228 Å, 2θ = 40.49°, I 22; hkl 1 1 2, d = 2.132 Å, 2θ = 42.40°, I 27; hkl 1 7 -1, d = 2.018 Å, 2θ = 44.92°, I 29; hkl 4 8 -2, d = 1.402 Å, 2θ = 66.73°, I 24

---

Record 2
# Sc5Ni2Hg4
Calculated XRD peak list, Cu Ka. Input: a cell relaxed with PBE.
No peak broadening, texture or thermal motion is included.

abc: 7.5314 17.2335 3.3241
angles: 90.00 90.00 90.00
Space group Pbam (No. 55)
Symmetry-distinct sites (fractional):
Sc 0.0000 0.0000 0.0000 x2
Sc 0.1188 0.4118 0.0000 x4
Sc 0.2488 0.7184 0.0000 x4
Ni 0.0365 0.3042 0.5000 x4
Hg 0.0748 0.8490 0.5000 x4
Hg 0.2042 0.5664 0.5000 x4

Main lines, low angle first (15 to 90 degrees two-theta):
hkl 1 4 0, d = 3.740 Å, 2θ = 23.79°, I 50; hkl 0 0 1, d = 3.324 Å, 2θ = 26.82°, I 56; hkl 1 6 0, d = 2.686 Å, 2θ = 33.36°, I 48; hkl 1 4 1, d = 2.484 Å, 2θ = 36.15°, I 100; hkl 3 2 0, d = 2.410 Å, 2θ = 37.31°, I 50; hkl 2 2 1, d = 2.394 Å, 2θ = 37.57°, I 52; hkl 1 7 0, d = 2.340 Å, 2θ = 38.47°, I 35; hkl 2 6 0, d = 2.285 Å, 2θ = 39.44°, I 59; hkl 3 2 1, d = 1.951 Å, 2θ = 46.54°, I 29; hkl 3 2 2, d = 1.368 Å, 2θ = 68.60°, I 30

---

Record 3
# ThGa3Fe3
Calculated XRD peak list, Cu Ka. Input: a cell relaxed with PBE.
No peak broadening, texture or thermal motion is included.

abc: 6.4924 6.4924 6.4924
angles: 90.00 90.00 90.00
Space group Pm-3n (No. 223)
Symmetry-distinct sites (fractional):
Th 0.0000 0.0000 0.0000 x2
Ga 0.0000 0.2500 0.5000 x6
Fe 0.0000 0.5000 0.2500 x6

Main lines, low angle first (15 to 90 degrees two-theta):
hkl 1 1 0, d = 4.591 Å, 2θ = 19.33°, I 11; hkl 2 0 0, d = 3.246 Å, 2θ = 27.48°, I 43; hkl 2 1 1, d = 2.651 Å, 2θ = 33.82°, I 100; hkl 3 1 0, d = 2.053 Å, 2θ = 44.11°, I 3; hkl 3 2 1, d = 1.735 Å, 2θ = 52.76°, I 57; hkl 4 0 0, d = 1.623 Å, 2θ = 56.71°, I 17; hkl 4 2 0, d = 1.452 Å, 2θ = 64.15°, I 16; hkl 3 3 2, d = 1.384 Å, 2θ = 67.69°, I 13; hkl 5 2 1, d = 1.185 Å, 2θ = 81.14°, I 16; hkl 4 4 0, d = 1.148 Å, 2θ = 84.40°, I 11